The following is a calculated powder X-ray diffraction pattern of Pr2Sn4RhAu3. It was derived from a DFT-relaxed cell (GGA-PBE, Alexandria), using Cu Kα, 1.54184 Å.
Lines closer than 0.1° are merged.

The 8 most intense peaks (5° ≤ 2θ ≤ 70°), in order of falling intensity:
d [Å], Position (°2θ), intensity
2.822, 31.7, 100
2.294, 39.3, 73
2.932, 30.5, 49
2.145, 42.1, 45
2.047, 44.2, 30
1.622, 56.8, 26
1.807, 50.5, 24
1.406, 66.5, 24

Structural model:
```
data_Pr2Sn4RhAu3
_chemical_formula_sum 'Pr2 Sn4 Rh1 Au3'
_cell_length_a 4.5878
_cell_length_b 4.5878
_cell_length_c 11.4392
_cell_angle_alpha 90.00
_cell_angle_beta 90.00
_cell_angle_gamma 90.00
_symmetry_space_group_name_H-M 'P -4 m 2'
_symmetry_Int_Tables_number 115
loop_
_symmetry_equiv_pos_as_xyz
'x,y,z'
'y,-x,-z'
'-x,-y,z'
'-y,x,-z'
'-x,y,z'
'-y,-x,-z'
'x,-y,z'
'y,x,-z'
loop_
_atom_site_label
_atom_site_type_symbol
_atom_site_fract_x
_atom_site_fract_y
_atom_site_fract_z
Pr1 Pr 0.0000 0.5000 0.2286
Sn1 Sn 0.0000 0.0000 0.5000
Sn2 Sn 0.0000 0.5000 0.8764
Sn3 Sn 0.5000 0.5000 0.5000
Rh1 Rh 0.5000 0.5000 0.0000
Au1 Au 0.0000 0.0000 0.0000
Au2 Au 0.0000 0.5000 0.6443
```